Theoretical X-ray diffraction stick pattern of LiV2P4H2O16 for Cu Ka, from a structure optimized by DFT (GGA+U).

```
50
Lattice="7.7786 0.0000 0.0000 -1.9194 9.0817 0.0000 -1.9478 -4.6276 7.8143" Properties=species:S:1:pos:R:3 pbc="T T T"
Li 0.0000 0.0000 0.0000
Li -0.0746 5.4076 1.5556
V 0.9283 1.1911 4.2073
V 1.0280 8.1408 0.3183
V 4.7953 -2.1464 6.1031
V 4.7843 4.6347 2.2995
P -1.8526 1.0205 6.2034
P 0.1148 -1.2402 2.2878
P -2.1394 5.0841 5.3697
P -0.1733 2.8077 1.4458
P 2.0355 -0.3802 6.9957
P 2.0722 6.4934 3.0595
P 1.7633 3.7001 6.0881
P 3.6981 1.4630 2.2727
H -0.2070 5.7741 4.3606
H 2.0485 3.5346 0.1954
H 5.6334 0.2295 2.3455
H 3.9522 2.2544 6.1191
O -1.3826 -2.9626 5.6057
O -1.3493 3.7911 1.7323
O -2.0619 -0.5291 6.3498
O -1.8772 6.3173 2.4350
O -2.0782 4.2407 6.6541
O 0.0209 1.8759 2.6874
O -0.6924 1.2583 5.2103
O -0.6201 8.1445 1.3026
O -1.4792 1.5917 7.5903
O 0.5068 -0.5754 3.6631
O 1.0486 3.6656 1.2053
O -0.8158 5.8507 5.1941
O 0.7498 -1.1962 7.1837
O 0.7841 5.7341 3.2619
O 1.3411 3.0359 4.7563
O 3.3146 0.8597 0.9059
O 0.5672 3.4662 7.0681
O 2.5266 1.1730 3.2709
O 1.8432 0.5297 5.7439
O 1.9795 7.4390 1.8602
O 3.8351 2.9710 2.1021
O 1.9525 5.2455 5.9423
O 3.2080 -1.3711 6.6864
O 3.2745 5.5335 2.8435
O 4.3867 5.0874 0.3948
O 4.3678 -1.7406 4.3353
O 3.0364 3.1339 6.6823
O 4.9932 0.8725 2.8614
O 4.6284 1.5950 5.6291
O 6.6590 -0.5889 1.7020
O 7.2267 1.9260 0.2090
O 5.2673 4.2192 4.1596
```

Largest 10 diffraction maxima, in order of rising 2θ, 5° ≤ 2θ ≤ 70°:
2theta	I_rel
16.7	74
22.5	19
22.8	58
25.0	100
25.8	67
27.4	25
29.4	30
29.6	81
30.1	26
33.8	46


Theoretical X-ray diffraction stick pattern of La4MgGa2Fe2O12 for Cu Ka, from a structure optimized by DFT (GGA+U).

```
21
Lattice="5.5389 0.0000 0.0000 0.1266 5.7853 0.0000 2.5263 0.0960 9.6778" Properties=species:S:1:pos:R:3 pbc="T T T"
La 0.0000 0.0000 0.0000
La 2.1809 0.2940 5.9471
La 2.9584 2.9732 0.1534
La 5.1443 3.0118 6.0983
Mg 2.7546 3.3119 3.8485
Ga 5.1499 0.2197 7.8997
Ga 5.5415 2.6386 2.2824
Fe 2.4857 3.1007 7.8683
Fe 2.7536 0.3523 2.2730
O 2.4179 2.6534 5.6983
O 1.8560 2.3364 2.3462
O 2.3540 5.2170 3.8709
O 3.7187 4.8305 7.5377
O 4.0205 1.8638 8.3218
O 2.5449 5.3678 0.3667
O 4.7579 3.2511 3.8174
O 5.3222 0.7258 6.0019
O 4.4701 1.2201 1.6884
O 6.4588 4.4053 7.7448
O 6.7001 1.4554 8.2868
O 5.3120 3.5855 0.6446
```

Largest 10 diffraction maxima, in order of rising 2θ, 5° ≤ 2θ ≤ 70°:
2theta	I_rel
9.1	100
22.4	30
30.9	75
31.8	65
31.9	58
32.2	67
32.3	67
32.8	52
44.8	31
46.9	31


Theoretical X-ray diffraction stick pattern of FeSeO3F for Cu Ka, from a structure optimized by DFT (GGA+U).

```
24
Lattice="5.0512 0.0000 0.0000 0.0000 5.2753 0.0000 -3.4130 0.0000 12.0437" Properties=species:S:1:pos:R:3 pbc="T T T"
Fe 0.3333 1.2991 0.8595
Fe -1.3732 1.3386 6.8814
Fe 3.0113 3.9367 5.1623
Fe 1.3048 3.9762 11.1841
Se 0.4717 0.7501 4.0198
Se -1.2348 1.8876 10.0417
Se 2.8729 3.3877 2.0020
Se 1.1664 4.5252 8.0238
O -0.2841 0.4055 2.5114
O -1.9906 2.2321 8.5332
O -0.8754 0.3233 5.1134
O -2.5820 2.3144 11.1352
O 0.1956 0.6697 7.8740
O 1.9021 1.9680 1.8522
O -0.2640 3.3073 10.1915
O 1.4425 4.6056 4.1696
O 4.2201 2.9609 0.9085
O 2.5136 4.9520 6.9303
O 3.6287 3.0432 3.5105
O 1.9222 4.8697 9.5323
F -0.5240 2.9803 6.1371
F 1.1825 4.9326 0.1152
F 0.4556 0.3427 11.9284
F 2.1621 2.2949 5.9066
```

Largest 10 diffraction maxima, in order of rising 2θ, 5° ≤ 2θ ≤ 70°:
2theta	I_rel
24.5	45
24.9	100
26.3	31
26.5	28
27.9	36
30.4	38
34.3	36
34.9	40
35.9	16
47.2	22